For Tb6TmCd2, the PBE geometry in Alexandria gives the computed powder diffraction line list in this record (Cu Kα).

Top 10 peaks for 10 to 90 degrees two-theta, by angle:
30.4 deg, rel. 60
31.4 deg, rel. 51
32.7 deg, rel. 57
32.8 deg, rel. 100
37.9 deg, rel. 37
39.8 deg, rel. 24
50.5 deg, rel. 15
51.5 deg, rel. 15
56.8 deg, rel. 15
57.9 deg, rel. 18

Structural model:
```
18
Lattice="7.644 -5.693 0.000 7.644 5.693 0.000 -0.534 0.000 6.096" Properties=species:S:1:pos:R:3 pbc="T T T"
Tb 6.271 4.225 6.053
Tb 4.140 1.460 0.982
Tb 8.216 4.225 3.091
Tb 5.461 1.713 4.174
Tb 3.873 -1.460 4.030
Tb 9.026 1.713 4.970
Tb 5.728 -1.713 1.126
Tb 10.881 1.460 2.066
Tb 9.293 -1.713 1.922
Tb 6.538 -4.225 3.005
Tb 10.614 -1.460 5.114
Tb 8.483 -4.225 0.043
Tm 7.511 1.130 1.524
Tm 7.244 -1.130 4.572
Cd 2.193 1.387 3.603
Cd 2.460 -1.387 0.555
Cd 12.294 1.387 5.541
Cd 12.561 -1.387 2.493
```